(1)
Theoretical X-ray diffraction stick pattern
Compound: Li3FeCo3O8
Radiation: Cu Kα X-rays
Structure: a cell relaxed with PBE+U
Neutral-atom scattering factors, no anomalous dispersion.

Most intense lines, 10 to 80 degrees two-theta, sorted by position:
2θ 18.2, I = 100; 2θ 35.7, I = 13; 2θ 36.1, I = 25; 2θ 37.6, I = 8; 2θ 43.1, I = 22; 2θ 43.6, I = 43; 2θ 47.5, I = 12; 2θ 57.3, I = 10; 2θ 62.7, I = 17; 2θ 63.3, I = 12

Structure:
Cell lengths 5.874, 5.874, 5.924 Å; angles 119.66, 119.66, 59.37 degrees
Atoms (fractional coordinates):
Li: 0.000 0.000 0.000
Li: 0.000 0.500 0.000
Li: 0.500 0.000 0.000
Fe: 0.500 0.500 0.500
Co: 0.000 0.000 0.500
Co: 0.000 0.500 0.500
Co: 0.500 0.000 0.500
O: 0.223 0.223 0.711
O: 0.232 0.759 0.719
O: 0.241 0.768 0.281
O: 0.254 0.254 0.277
O: 0.746 0.746 0.723
O: 0.759 0.232 0.719
O: 0.768 0.241 0.281
O: 0.777 0.777 0.289



(2)
Theoretical X-ray diffraction stick pattern
Compound: Li4Fe5Co3O16
Radiation: Cu Kα X-rays
Structure: a cell relaxed with PBE+U
Neutral-atom scattering factors, no anomalous dispersion.

Most intense lines, 10 to 80 degrees two-theta, sorted by position:
2θ 18.6, I = 100; 2θ 19.7, I = 81; 2θ 19.9, I = 63; 2θ 36.1, I = 27; 2θ 36.5, I = 39; 2θ 36.7, I = 41; 2θ 40.3, I = 27; 2θ 45.5, I = 32; 2θ 45.8, I = 27; 2θ 63.4, I = 57

Structure:
Cell lengths 5.867, 5.867, 9.561 Å; angles 90.60, 90.60, 59.98 degrees
Atoms (fractional coordinates):
Li: 0.000 0.000 0.000
Li: 0.001 0.001 0.498
Li: 0.344 0.344 0.597
Li: 0.677 0.677 0.105
Fe: 0.177 0.177 0.281
Fe: 0.337 0.337 0.006
Fe: 0.347 0.836 0.779
Fe: 0.671 0.671 0.507
Fe: 0.836 0.347 0.779
Co: 0.177 0.667 0.283
Co: 0.667 0.177 0.283
Co: 0.836 0.836 0.781
O: 0.000 0.000 0.687
O: 0.047 0.499 0.164
O: 0.166 0.675 0.895
O: 0.167 0.167 0.899
O: 0.327 0.836 0.391
O: 0.349 0.349 0.388
O: 0.486 0.486 0.172
O: 0.499 0.047 0.164
O: 0.526 0.526 0.652
O: 0.530 0.970 0.652
O: 0.675 0.166 0.895
O: 0.678 0.678 0.889
O: 0.836 0.327 0.391
O: 0.847 0.847 0.383
O: 0.970 0.530 0.652
O: 0.997 0.997 0.188



(3)
Theoretical X-ray diffraction stick pattern
Compound: Li3Fe4CoO8
Radiation: Cu Kα X-rays
Structure: a cell relaxed with PBE+U
Neutral-atom scattering factors, no anomalous dispersion.

Most intense lines, 10 to 80 degrees two-theta, sorted by position:
2θ 18.1, I = 100; 2θ 34.8, I = 15; 2θ 35.1, I = 32; 2θ 36.6, I = 53; 2θ 42.2, I = 50; 2θ 42.7, I = 96; 2θ 61.5, I = 27; 2θ 61.7, I = 27; 2θ 61.9, I = 27; 2θ 77.9, I = 19

Structure:
Cell lengths 6.018, 6.018, 5.997 Å; angles 119.77, 119.77, 59.73 degrees
Atoms (fractional coordinates):
Li: 0.000 0.000 0.000
Li: 0.000 0.500 0.500
Li: 0.500 0.000 0.500
Fe: 0.000 0.000 0.500
Fe: 0.000 0.500 0.000
Fe: 0.500 0.000 0.000
Fe: 0.500 0.500 0.000
Co: 0.500 0.500 0.500
O: 0.248 0.736 0.236
O: 0.254 0.254 0.235
O: 0.258 0.258 0.767
O: 0.264 0.752 0.764
O: 0.736 0.248 0.236
O: 0.742 0.742 0.233
O: 0.746 0.746 0.765
O: 0.752 0.264 0.764



Which formula does entry 3 have?
Li3Fe4CoO8